The following is a calculated powder X-ray diffraction pattern of Li3Cu2F7. It was derived from the PBE geometry in Alexandria, using λ = 1.5418 Å (Cu Kα).

Peak list (6 most intense, 2θ = 15–90°, by intensity)
d_spacing	2θ (°)	Rel. int.
3.711	23.98	100
4.440	20.00	57
2.593	34.59	37
1.751	52.25	25
1.547	59.77	24
2.727	32.84	20

Structure:
a = 9.289 Å, b = 9.289 Å, c = 5.283 Å
α = 90.00°, β = 90.00°, γ = 34.14°
Element x y z (fractional)
Li 0.096 0.505 0.436
Li 0.224 0.776 0.500
Li 0.495 0.904 0.436
Li 0.505 0.096 0.936
Li 0.776 0.224 0.000
Li 0.904 0.495 0.936
Cu 0.142 0.647 0.982
Cu 0.353 0.858 0.982
Cu 0.647 0.142 0.482
Cu 0.858 0.353 0.482
F 0.035 0.239 0.171
F 0.129 0.871 0.887
F 0.157 0.425 0.060
F 0.239 0.035 0.671
F 0.310 0.535 0.301
F 0.425 0.157 0.560
F 0.465 0.690 0.301
F 0.535 0.310 0.801
F 0.575 0.843 0.060
F 0.690 0.465 0.801
F 0.761 0.965 0.171
F 0.843 0.575 0.560
F 0.871 0.129 0.387
F 0.965 0.761 0.671